Diffraction record for Sc7Al2Tl2. The X-ray powder pattern is computed, not measured: it uses the PBE geometry in Alexandria and copper Kα.
No peak broadening, texture or thermal motion is included.

Top 10 peaks for 2θ from 10° to 90°, by angle:
2θ = 11.40°, intensity 100
2θ = 16.87°, intensity 39
2θ = 20.40°, intensity 64
2θ = 28.59°, intensity 58
2θ = 28.94°, intensity 73
2θ = 33.68°, intensity 40
2θ = 34.11°, intensity 47
2θ = 38.79°, intensity 40
2θ = 39.38°, intensity 82
2θ = 45.32°, intensity 41

```
11
Lattice="3.363 -5.257 0.000 3.363 5.257 0.000 0.000 0.000 7.761" Properties=species:S:1:pos:R:3 pbc="T T T"
Sc 0.000 0.000 0.000
Sc 1.681 2.629 2.244
Sc 1.681 2.629 5.517
Sc 1.681 -2.629 2.244
Sc 1.681 -2.629 5.517
Sc 3.363 0.000 1.592
Sc 3.363 0.000 6.169
Al 3.363 2.372 0.000
Al 3.363 -2.372 0.000
Tl 1.484 0.000 3.881
Tl 5.242 0.000 3.881
```